# 1
Pm5Pb2O12: calculated X-ray powder pattern (Cu Kα), based on DFT lattice parameters and positions (PBE).

Crystal structure
```
data_Pm5Pb2O12
_cell_length_a 12.9765
_cell_length_b 6.2883
_cell_length_c 7.6637
_cell_angle_alpha 90.00
_cell_angle_beta 107.50
_cell_angle_gamma 90.00
_space_group_name_H-M_alt 'C 1 2/m 1'
_space_group_IT_number 12
loop_
_space_group_symop_operation_xyz
'x,y,z'
'-x,-y,-z'
'-x,y,-z'
'x,-y,z'
'x+1/2,y+1/2,z'
'-x+1/2,-y+1/2,-z'
'-x+1/2,y+1/2,-z'
'x+1/2,-y+1/2,z'
loop_
_atom_site_label
_atom_site_fract_x
_atom_site_fract_y
_atom_site_fract_z
Pm1 0.0000 0.0000 0.0000
Pm2 0.1961 0.5000 0.3363
Pm3 0.1998 0.5000 0.8622
Pb1 0.0000 0.2451 0.5000
O1 0.0015 0.5000 0.2987
O2 0.0027 0.0000 0.3027
O3 0.1545 0.2489 0.0717
O4 0.1736 0.2722 0.5929
```

Top 8 peaks for 10° ≤ 2θ ≤ 80°, by angle:
2theta, Rel. int.
24.3, 35.8
25.8, 92.2
27.3, 100.0
28.9, 39.6
31.0, 54.4
31.8, 45.0
31.9, 88.3
37.7, 51.1

# 2
PmRuPb2O8: calculated X-ray powder pattern (Cu Kα), based on DFT lattice parameters and positions (PBE).

Crystal structure
```
data_PmRuPb2O8
_cell_length_a 5.0357
_cell_length_b 6.7983
_cell_length_c 5.0531
_cell_angle_alpha 90.00
_cell_angle_beta 90.87
_cell_angle_gamma 90.00
_space_group_name_H-M_alt 'P 1 2/m 1'
_space_group_IT_number 10
loop_
_space_group_symop_operation_xyz
'x,y,z'
'-x,-y,-z'
'-x,y,-z'
'x,-y,z'
loop_
_atom_site_label
_atom_site_fract_x
_atom_site_fract_y
_atom_site_fract_z
Pm1 0.0000 0.0000 0.0000
Ru1 0.0000 0.5000 0.0000
Pb1 0.5000 0.2578 0.5000
O1 0.1907 0.2871 0.1810
O2 0.2776 0.5000 0.7116
O3 0.3094 0.0000 0.6774
```

Top 8 peaks for 10° ≤ 2θ ≤ 80°, by angle:
2theta, Rel. int.
24.8, 56.5
25.2, 55.6
31.7, 100.0
35.5, 15.9
35.7, 15.1
48.2, 39.2
48.7, 39.0
66.3, 11.8

Repeat the first record exactly.
Pm5Pb2O12: calculated X-ray powder pattern (Cu Kα), based on DFT lattice parameters and positions (PBE).

Crystal structure
```
data_Pm5Pb2O12
_cell_length_a 12.9765
_cell_length_b 6.2883
_cell_length_c 7.6637
_cell_angle_alpha 90.00
_cell_angle_beta 107.50
_cell_angle_gamma 90.00
_space_group_name_H-M_alt 'C 1 2/m 1'
_space_group_IT_number 12
loop_
_space_group_symop_operation_xyz
'x,y,z'
'-x,-y,-z'
'-x,y,-z'
'x,-y,z'
'x+1/2,y+1/2,z'
'-x+1/2,-y+1/2,-z'
'-x+1/2,y+1/2,-z'
'x+1/2,-y+1/2,z'
loop_
_atom_site_label
_atom_site_fract_x
_atom_site_fract_y
_atom_site_fract_z
Pm1 0.0000 0.0000 0.0000
Pm2 0.1961 0.5000 0.3363
Pm3 0.1998 0.5000 0.8622
Pb1 0.0000 0.2451 0.5000
O1 0.0015 0.5000 0.2987
O2 0.0027 0.0000 0.3027
O3 0.1545 0.2489 0.0717
O4 0.1736 0.2722 0.5929
```

Top 8 peaks for 10° ≤ 2θ ≤ 80°, by angle:
2theta, Rel. int.
24.3, 35.8
25.8, 92.2
27.3, 100.0
28.9, 39.6
31.0, 54.4
31.8, 45.0
31.9, 88.3
37.7, 51.1

What is the formula in the first record?
Pm5Pb2O12